Structure and simulated PXRD pattern of Hf7Ir2Pd2 (a GGA-PBE-relaxed structure; a wavelength of 1.5418 Å).

Principal peaks in the range 2θ from 5° to 70°, in order of rising 2θ:
d/Å, Position (°2θ), intensity
3.230, 27.62, 45
2.950, 30.30, 31
2.902, 30.81, 31
2.474, 36.31, 20
2.453, 36.64, 52
2.225, 40.54, 43
2.209, 40.85, 100
1.846, 49.36, 21
1.666, 55.12, 17
1.475, 63.02, 17

Crystal structure
abc: 6.1399 6.1399 6.6652
angles: 90.00 90.00 106.06
Element x y z (fractional)
1 Hf 0.0000 0.0000 0.0000
2 Hf 0.0000 0.5000 0.2680
3 Hf 0.0000 0.5000 0.7320
4 Hf 0.5000 0.0000 0.2680
5 Hf 0.5000 0.0000 0.7320
6 Hf 0.5000 0.5000 0.2611
7 Hf 0.5000 0.5000 0.7389
8 Ir 0.2834 0.7166 0.0000
9 Ir 0.7166 0.2834 0.0000
10 Pd 0.1930 0.1930 0.5000
11 Pd 0.8070 0.8070 0.5000